Record 1
This entry pairs a crystal structure of CaLaCl5 with its calculated XRD peak list. Radiation: λ = 1.5418 Å (Cu Kα). Structure: the PBE geometry in Alexandria.

Atomic structure:
Cell lengths 7.3752, 7.3752, 10.5021 Å; angles 111.19, 111.19, 71.21 degrees
Atoms (fractional coordinates):
Ca  0.0274  0.9726  0.7500
Ca  0.9726  0.0274  0.2500
La  0.5000  0.5000  0.0000
La  0.5000  0.5000  0.5000
Cl  0.1554  0.7789  0.0452
Cl  0.1972  0.3004  0.3539
Cl  0.2211  0.8446  0.4548
Cl  0.3004  0.1972  0.8539
Cl  0.3656  0.6344  0.7500
Cl  0.6344  0.3656  0.2500
Cl  0.6996  0.8028  0.1461
Cl  0.7789  0.1554  0.5452
Cl  0.8028  0.6996  0.6461
Cl  0.8446  0.2211  0.9548

The 6 most intense peaks (2θ from 10° to 80°), by intensity:
2theta	intensity
19.8	100.0
16.5	83.7
13.2	46.6
35.7	44.4
33.4	36.4
20.7	35.0


Record 2
This entry pairs a crystal structure of Sc3Cd with its calculated XRD peak list. Radiation: λ = 1.5418 Å (Cu Kα). Structure: the PBE geometry in Alexandria.

Atomic structure:
Cell lengths 5.1072, 6.3428, 5.6991 Å; angles 90.00, 90.00, 90.00 degrees
Atoms (fractional coordinates):
Sc  0.2500  0.0049  0.1563
Sc  0.2500  0.2500  0.6395
Sc  0.2500  0.4951  0.1563
Sc  0.7500  0.5049  0.8437
Sc  0.7500  0.7500  0.3605
Sc  0.7500  0.9951  0.8437
Cd  0.2500  0.7500  0.6652
Cd  0.7500  0.2500  0.3348

The 6 most intense peaks (2θ from 10° to 80°), by intensity:
2theta	intensity
36.9	100.0
36.1	63.8
35.1	41.4
32.3	31.6
68.3	24.8
21.0	21.5


Record 3
This entry pairs a crystal structure of Ca13Ir2 with its calculated XRD peak list. Radiation: λ = 1.5418 Å (Cu Kα). Structure: the PBE geometry in Alexandria.

Atomic structure:
Cell lengths 6.8138, 8.8246, 10.4615 Å; angles 65.24, 84.04, 82.44 degrees
Atoms (fractional coordinates):
Ca  0.0000  0.0000  0.0000
Ca  0.0798  0.8487  0.6927
Ca  0.1505  0.6932  0.3843
Ca  0.2298  0.5403  0.0759
Ca  0.3057  0.3822  0.7695
Ca  0.3809  0.2287  0.4642
Ca  0.4626  0.0745  0.1550
Ca  0.5374  0.9255  0.8450
Ca  0.6191  0.7713  0.5358
Ca  0.6943  0.6178  0.2305
Ca  0.7702  0.4597  0.9241
Ca  0.8495  0.3068  0.6157
Ca  0.9202  0.1513  0.3073
Ir  0.1937  0.1159  0.7296
Ir  0.8063  0.8841  0.2704

The 6 most intense peaks (2θ from 10° to 80°), by intensity:
2theta	intensity
11.1	100.0
31.9	58.7
32.1	57.8
32.2	57.4
16.0	48.6
16.5	45.6